The following is a computed powder XRD pattern of CdSnAu3. It was derived from the PBE geometry in Alexandria, using Cu Kα, 1.54184 Å.
Lines closer than 0.1° are merged.

Structural model:
```
data_CdSnAu3
_symmetry_space_group_name_H-M 'P 1 21/m 1'
_symmetry_Int_Tables_number 11
_cell_length_a 4.582
_cell_length_b 7.357
_cell_length_c 6.699
_cell_angle_alpha 90.00
_cell_angle_beta 109.85
_cell_angle_gamma 90.00
loop_
_symmetry_equiv_pos_as_xyz
'x,y,z'
'-x,-y,-z'
'-x,y+1/2,-z'
'x,-y+1/2,z'
loop_
_atom_site_label
_atom_site_type_symbol
_atom_site_fract_x
_atom_site_fract_y
_atom_site_fract_z
Cd1 Cd 0.134 0.250 0.267
Sn1 Sn 0.137 0.750 0.280
Au1 Au 0.325 0.511 0.649
Au2 Au 0.499 0.250 0.991
```

Most intense lines, 10 to 90 degrees two-theta, by angle:
4.306 Å, 20.63 deg, I = 180, hkl 1 0 -1; 3.177 Å, 28.09 deg, I = 278, hkl 0 2 1; 2.369 Å, 37.98 deg, I = 1000, hkl 1 2 -2; 2.291 Å, 39.33 deg, I = 260, hkl 2 0 -1; 2.208 Å, 40.86 deg, I = 221, hkl 1 0 2; 2.100 Å, 43.07 deg, I = 129, hkl 0 0 3; 1.858 Å, 49.02 deg, I = 124, hkl 2 2 0; 1.839 Å, 49.56 deg, I = 127, hkl 0 4 0

The following is a computed powder XRD pattern of Ce2NiSn2Pt. It was derived from the PBE geometry in Alexandria, using Cu Kα, 1.54184 Å.
Lines closer than 0.1° are merged.

Structural model:
```
data_Ce2NiSn2Pt
_symmetry_space_group_name_H-M 'P m c 21'
_symmetry_Int_Tables_number 26
_cell_length_a 4.592
_cell_length_b 7.905
_cell_length_c 7.394
_cell_angle_alpha 90.00
_cell_angle_beta 90.00
_cell_angle_gamma 90.00
loop_
_symmetry_equiv_pos_as_xyz
'x,y,z'
'-x,-y,z+1/2'
'-x,y,z'
'x,-y,z+1/2'
loop_
_atom_site_label
_atom_site_type_symbol
_atom_site_fract_x
_atom_site_fract_y
_atom_site_fract_z
Ce1 Ce 0.000 0.050 0.000
Ce2 Ce 0.500 0.450 0.029
Ni1 Ni 0.500 0.163 0.316
Sn1 Sn 0.000 0.325 0.331
Sn2 Sn 0.500 0.154 0.694
Pt1 Pt 0.000 0.338 0.738
```

Most intense lines, 10 to 90 degrees two-theta, by angle:
2.776 Å, 32.24 deg, I = 382, hkl 1 2 1; 2.704 Å, 33.13 deg, I = 1000, hkl 1 1 2; 2.353 Å, 38.25 deg, I = 203, hkl 0 1 3; 2.296 Å, 39.24 deg, I = 324, hkl 2 0 0; 2.285 Å, 39.43 deg, I = 457, hkl 1 3 0; 1.749 Å, 52.31 deg, I = 150, hkl 2 2 2; 1.643 Å, 55.96 deg, I = 136, hkl 2 1 3; 1.462 Å, 63.67 deg, I = 167, hkl 1 4 3

The following is a computed powder XRD pattern of Ce2Cu3. It was derived from the PBE geometry in Alexandria, using Cu Kα, 1.54184 Å.
Lines closer than 0.1° are merged.

Structural model:
```
data_Ce2Cu3
_symmetry_space_group_name_H-M 'P b c n'
_symmetry_Int_Tables_number 60
_cell_length_a 5.840
_cell_length_b 7.475
_cell_length_c 8.800
_cell_angle_alpha 90.00
_cell_angle_beta 90.00
_cell_angle_gamma 90.00
loop_
_symmetry_equiv_pos_as_xyz
'x,y,z'
'-x,-y,-z'
'-x+1/2,-y+1/2,z+1/2'
'x+1/2,y+1/2,-z+1/2'
'x+1/2,-y+1/2,-z'
'-x+1/2,y+1/2,z'
'-x,y,-z+1/2'
'x,-y,z+1/2'
loop_
_atom_site_label
_atom_site_type_symbol
_atom_site_fract_x
_atom_site_fract_y
_atom_site_fract_z
Ce1 Ce 0.126 0.184 0.092
Cu1 Cu 0.000 0.159 0.750
Cu2 Cu 0.130 0.474 0.862
```

Most intense lines, 10 to 90 degrees two-theta, by angle:
2.964 Å, 30.15 deg, I = 283, hkl 1 2 1; 2.599 Å, 34.51 deg, I = 1000, hkl 2 1 1; 2.560 Å, 35.05 deg, I = 870, hkl 1 2 2; 2.474 Å, 36.32 deg, I = 865, hkl 1 1 3; 2.314 Å, 38.93 deg, I = 780, hkl 2 1 2; 2.308 Å, 39.03 deg, I = 574, hkl 0 2 3; 2.292 Å, 39.31 deg, I = 766, hkl 1 3 0; 1.744 Å, 52.45 deg, I = 242, hkl 1 4 1

The following is a computed powder XRD pattern of FeAgP. It was derived from the PBE geometry in Alexandria, using Cu Kα, 1.54184 Å.
Lines closer than 0.1° are merged.

Structural model:
```
data_FeAgP
_symmetry_space_group_name_H-M 'P 4/n m m'
_symmetry_Int_Tables_number 129
_cell_length_a 3.770
_cell_length_b 3.770
_cell_length_c 5.939
_cell_angle_alpha 90.00
_cell_angle_beta 90.00
_cell_angle_gamma 90.00
loop_
_symmetry_equiv_pos_as_xyz
'x,y,z'
'-x,-y,-z'
'-y+1/2,x,z'
'y+1/2,-x,-z'
'-x+1/2,-y+1/2,z'
'x+1/2,y+1/2,-z'
'y,-x+1/2,z'
'-y,x+1/2,-z'
'x+1/2,-y,-z'
'-x+1/2,y,z'
'-y,-x,-z'
'y,x,z'
'-x,y+1/2,-z'
'x,-y+1/2,z'
'y+1/2,x+1/2,-z'
'-y+1/2,-x+1/2,z'
loop_
_atom_site_label
_atom_site_type_symbol
_atom_site_fract_x
_atom_site_fract_y
_atom_site_fract_z
Fe1 Fe 0.250 0.750 0.000
Ag1 Ag 0.250 0.250 0.375
P1 P 0.250 0.250 0.804
```

Most intense lines, 10 to 90 degrees two-theta, by angle:
3.183 Å, 28.03 deg, I = 312, hkl 1 0 1; 2.666 Å, 33.62 deg, I = 277, hkl 1 1 0; 2.432 Å, 36.96 deg, I = 1000, hkl 1 1 1; 2.333 Å, 38.60 deg, I = 919, hkl 1 0 2; 1.984 Å, 45.74 deg, I = 212, hkl 1 1 2; 1.885 Å, 48.28 deg, I = 548, hkl 2 0 0; 1.466 Å, 63.44 deg, I = 395, hkl 2 1 2; 1.297 Å, 72.93 deg, I = 198, hkl 1 1 4

The following is a computed powder XRD pattern of Nd5Sm4Ga4. It was derived from the PBE geometry in Alexandria, using Cu Kα, 1.54184 Å.
Lines closer than 0.1° are merged.

Structural model:
```
data_Nd5Sm4Ga4
_symmetry_space_group_name_H-M 'I 4/m'
_symmetry_Int_Tables_number 87
_symmetry_space_group_name_Hall '-I 4'
_cell_length_a 12.057
_cell_length_b 12.057
_cell_length_c 5.135
_cell_angle_alpha 90.00
_cell_angle_beta 90.00
_cell_angle_gamma 90.00
loop_
_atom_site_label
_atom_site_type_symbol
_atom_site_fract_x
_atom_site_fract_y
_atom_site_fract_z
Nd1 Nd 0.000 0.000 0.000
Nd2 Nd 0.110 0.814 0.500
Sm1 Sm 0.093 0.623 0.000
Ga1 Ga 0.112 0.234 0.000
```

Most intense lines, 10 to 90 degrees two-theta, by angle:
3.165 Å, 28.20 deg, I = 247, hkl 3 0 1; 3.014 Å, 29.64 deg, I = 134, hkl 4 0 0; 2.802 Å, 31.94 deg, I = 1000, hkl 2 3 1; 2.568 Å, 34.94 deg, I = 270, hkl 0 0 2; 2.364 Å, 38.06 deg, I = 176, hkl 5 1 0; 1.739 Å, 52.62 deg, I = 138, hkl 5 1 2; 1.576 Å, 58.57 deg, I = 169, hkl 7 2 1; 1.524 Å, 60.79 deg, I = 157, hkl 2 3 3

The following is a computed powder XRD pattern of Sr5Zn4. It was derived from the PBE geometry in Alexandria, using Cu Kα, 1.54184 Å.
Lines closer than 0.1° are merged.

Structural model:
```
data_Sr5Zn4
_symmetry_space_group_name_H-M 'C 1 2/m 1'
_symmetry_Int_Tables_number 12
_cell_length_a 12.104
_cell_length_b 4.828
_cell_length_c 11.180
_cell_angle_alpha 90.00
_cell_angle_beta 109.29
_cell_angle_gamma 90.00
loop_
_symmetry_equiv_pos_as_xyz
'x,y,z'
'-x,-y,-z'
'-x,y,-z'
'x,-y,z'
'x+1/2,y+1/2,z'
'-x+1/2,-y+1/2,-z'
'-x+1/2,y+1/2,-z'
'x+1/2,-y+1/2,z'
loop_
_atom_site_label
_atom_site_type_symbol
_atom_site_fract_x
_atom_site_fract_y
_atom_site_fract_z
Sr1 Sr 0.000 0.000 0.000
Sr2 Sr 0.111 0.000 0.397
Sr3 Sr 0.239 0.000 0.820
Zn1 Zn 0.043 0.500 0.818
Zn2 Zn 0.094 0.500 0.607
```

Most intense lines, 10 to 90 degrees two-theta, by angle:
3.203 Å, 27.85 deg, I = 948, hkl 1 1 2; 3.095 Å, 28.85 deg, I = 1000, hkl 3 1 -1; 2.950 Å, 30.30 deg, I = 652, hkl 1 1 -3; 2.698 Å, 33.20 deg, I = 414, hkl 3 1 1; 2.641 Å, 33.95 deg, I = 470, hkl 3 1 -3; 2.552 Å, 35.16 deg, I = 281, hkl 4 0 1; 2.413 Å, 37.26 deg, I = 550, hkl 0 2 0; 2.111 Å, 42.85 deg, I = 287, hkl 0 0 5